Li3P2WO9: simulated powder diffraction line list (copper Kα), based on a cell relaxed with GGA+U.
No peak broadening, texture or thermal motion is included.

Largest 6 diffraction maxima, low angle first, 2θ = 5–70°:
- 11.71°, intensity 41, (0 1 1)
- 15.15°, intensity 100, (0 2 1)
- 20.71°, intensity 41, (0 0 2)
- 21.76°, intensity 23, (1 2 -1)
- 24.47°, intensity 84, (1 3 0)
- 34.66°, intensity 23, (1 3 2)

Cell and atoms:
```
data_Li3P2WO9
_space_group_name_H-M_alt 'P 1 21/c 1'
_space_group_IT_number 14
_cell_length_a 5.0859
_cell_length_b 15.9862
_cell_length_c 8.7674
_cell_angle_alpha 90.00
_cell_angle_beta 101.96
_cell_angle_gamma 90.00
loop_
_space_group_symop_operation_xyz
'x,y,z'
'-x,-y,-z'
'-x,y+1/2,-z+1/2'
'x,-y+1/2,z+1/2'
loop_
_atom_site_label
_atom_site_type_symbol
_atom_site_fract_x
_atom_site_fract_y
_atom_site_fract_z
_atom_site_occupancy
Li1 Li 0.2251 0.1148 0.4591 1
Li2 Li 0.2476 0.1273 0.0719 1
Li3 Li 0.2711 0.6810 0.0761 1
P1 P 0.1817 0.2268 0.7582 1
P2 P 0.2223 0.5397 0.3102 1
W1 W 0.2944 0.6020 0.6902 1
O1 O 0.0611 0.0411 0.8285 1
O2 O 0.0850 0.7139 0.6735 1
O3 O 0.1172 0.1979 0.5909 1
O4 O 0.1351 0.5788 0.1518 1
O5 O 0.1835 0.6011 0.4428 1
O6 O 0.2918 0.1833 0.2788 1
O7 O 0.3998 0.1709 0.8698 1
O8 O 0.4161 0.6034 0.8956 1
O9 O 0.4707 0.0150 0.1577 1
```